Diffraction record for Sb3As4O16. The powder XRD pattern is theoretical, not measured: it uses a structure optimized by DFT (PBE) and Cu Kα (λ = 1.5418 Å).
Peak positions follow from Bragg's law for the DFT cell and can differ from measured ones.

Peak list (10 most intense, 10° ≤ 2θ ≤ 90°, sorted by position)
Position (°2θ), d [Å], I_rel
12.96, 6.833, 83
19.36, 4.584, 33
22.75, 3.908, 54
23.52, 3.783, 32
26.64, 3.347, 100
28.44, 3.138, 38
31.58, 2.833, 25
32.61, 2.746, 31
32.96, 2.717, 24
36.29, 2.475, 26

Cell lengths 8.4686, 5.4927, 16.5705 Å; angles 90.00, 109.36, 90.00 degrees
Atoms (fractional coordinates):
Sb (0.0000, 0.0000, 0.0000)
Sb (0.0000, 0.5000, 0.5000)
Sb (0.3011, 0.0407, 0.6258)
Sb (0.3011, 0.4593, 0.1258)
Sb (0.6989, 0.5407, 0.8742)
Sb (0.6989, 0.9593, 0.3742)
As (0.0831, 0.0400, 0.3924)
As (0.0831, 0.4600, 0.8924)
As (0.4414, 0.0281, 0.8559)
As (0.4414, 0.4719, 0.3559)
As (0.5586, 0.5281, 0.6441)
As (0.5586, 0.9719, 0.1441)
As (0.9169, 0.5400, 0.1076)
As (0.9169, 0.9600, 0.6076)
O (0.0052, 0.2441, 0.6045)
O (0.0052, 0.2559, 0.1045)
O (0.1053, 0.7061, 0.1033)
O (0.1053, 0.7939, 0.6033)
O (0.1489, 0.1253, 0.3146)
O (0.1489, 0.3747, 0.8146)
O (0.2043, 0.1562, 0.4962)
O (0.2043, 0.3438, 0.9962)
O (0.3198, 0.5012, 0.2477)
O (0.3198, 0.9988, 0.7477)
O (0.3553, 0.6092, 0.4195)
O (0.3553, 0.8908, 0.9195)
O (0.3654, 0.1073, 0.1428)
O (0.3654, 0.3927, 0.6428)
O (0.4866, 0.6667, 0.1176)
O (0.4866, 0.8333, 0.6176)
O (0.5134, 0.1667, 0.3824)
O (0.5134, 0.3333, 0.8824)
O (0.6346, 0.6073, 0.3572)
O (0.6346, 0.8927, 0.8572)
O (0.6447, 0.1092, 0.0805)
O (0.6447, 0.3908, 0.5805)
O (0.6802, 0.0012, 0.2523)
O (0.6802, 0.4988, 0.7523)
O (0.7957, 0.6562, 0.0038)
O (0.7957, 0.8438, 0.5038)
O (0.8511, 0.6253, 0.1854)
O (0.8511, 0.8747, 0.6854)
O (0.8947, 0.2061, 0.3967)
O (0.8947, 0.2939, 0.8967)
O (0.9948, 0.7441, 0.8955)
O (0.9948, 0.7559, 0.3955)